The following is a computed powder XRD pattern of Tm5Lu2Ni2Te2. It was derived from DFT lattice parameters and positions (PBE), using Cu Kα X-rays.
Neutral-atom scattering factors, no anomalous dispersion.

Principal peaks in the range 2θ = 10–90°, in order of falling intensity:
34.59°, intensity 100; 33.45°, intensity 82; 30.74°, intensity 75; 35.03°, intensity 51; 59.62°, intensity 37; 47.84°, intensity 29; 52.01°, intensity 28; 35.19°, intensity 24; 37.07°, intensity 23; 29.29°, intensity 22

Crystal structure
```
data_Tm5Lu2Ni2Te2
_space_group_name_H-M_alt 'I m m 2'
_space_group_IT_number 44
_space_group_name_Hall 'I 2 -2'
_cell_length_a 3.803
_cell_length_b 15.302
_cell_length_c 9.444
_cell_angle_alpha 90.00
_cell_angle_beta 90.00
_cell_angle_gamma 90.00
loop_
_atom_site_label
_atom_site_type_symbol
_atom_site_fract_x
_atom_site_fract_y
_atom_site_fract_z
Tm1 Tm 0.000 0.000 0.000
Tm2 Tm 0.000 0.134 0.419
Tm3 Tm 0.000 0.315 0.624
Lu1 Lu 0.000 0.354 0.273
Ni1 Ni 0.000 0.236 0.930
Te1 Te 0.000 0.000 0.663
Te2 Te 0.000 0.500 0.767
```

The following is a computed powder XRD pattern of Tm2Lu5Ni2Te2. It was derived from DFT lattice parameters and positions (PBE), using Cu Kα X-rays.
Neutral-atom scattering factors, no anomalous dispersion.

Principal peaks in the range 2θ = 10–90°, in order of falling intensity:
34.62°, intensity 100; 33.52°, intensity 83; 30.77°, intensity 76; 35.07°, intensity 52; 59.66°, intensity 37; 47.82°, intensity 30; 52.09°, intensity 28; 35.26°, intensity 25; 37.11°, intensity 24; 29.31°, intensity 24

Crystal structure
```
data_Tm2Lu5Ni2Te2
_space_group_name_H-M_alt 'I m m 2'
_space_group_IT_number 44
_space_group_name_Hall 'I 2 -2'
_cell_length_a 3.804
_cell_length_b 15.271
_cell_length_c 9.425
_cell_angle_alpha 90.00
_cell_angle_beta 90.00
_cell_angle_gamma 90.00
loop_
_atom_site_label
_atom_site_type_symbol
_atom_site_fract_x
_atom_site_fract_y
_atom_site_fract_z
Tm1 Tm 0.000 0.135 0.000
Lu1 Lu 0.000 0.000 0.419
Lu2 Lu 0.000 0.315 0.795
Lu3 Lu 0.000 0.353 0.147
Ni1 Ni 0.000 0.236 0.487
Te1 Te 0.000 0.000 0.756
Te2 Te 0.000 0.500 0.652
```

The following is a computed powder XRD pattern of Tm3Lu4Ni2Te2. It was derived from DFT lattice parameters and positions (PBE), using Cu Kα X-rays.
Neutral-atom scattering factors, no anomalous dispersion.

Principal peaks in the range 2θ = 10–90°, in order of falling intensity:
34.58°, intensity 100; 33.51°, intensity 83; 30.75°, intensity 76; 35.05°, intensity 53; 59.62°, intensity 38; 47.81°, intensity 30; 52.02°, intensity 28; 35.18°, intensity 25; 37.12°, intensity 24; 29.28°, intensity 23

Crystal structure
```
data_Tm3Lu4Ni2Te2
_space_group_name_H-M_alt 'I m m 2'
_space_group_IT_number 44
_space_group_name_Hall 'I 2 -2'
_cell_length_a 3.805
_cell_length_b 15.305
_cell_length_c 9.422
_cell_angle_alpha 90.00
_cell_angle_beta 90.00
_cell_angle_gamma 90.00
loop_
_atom_site_label
_atom_site_type_symbol
_atom_site_fract_x
_atom_site_fract_y
_atom_site_fract_z
Tm1 Tm 0.000 0.000 0.000
Tm2 Tm 0.000 0.135 0.419
Lu1 Lu 0.000 0.315 0.624
Lu2 Lu 0.000 0.353 0.272
Ni1 Ni 0.000 0.236 0.931
Te1 Te 0.000 0.000 0.662
Te2 Te 0.000 0.500 0.767
```

The following is a computed powder XRD pattern of Y2Tm2Lu3Ni2Te2. It was derived from DFT lattice parameters and positions (PBE), using Cu Kα X-rays.
Neutral-atom scattering factors, no anomalous dispersion.

Principal peaks in the range 2θ = 10–90°, in order of falling intensity:
34.46°, intensity 100; 33.27°, intensity 62; 30.66°, intensity 50; 34.93°, intensity 49; 59.47°, intensity 30; 51.74°, intensity 25; 47.79°, intensity 23; 45.42°, intensity 15; 28.81°, intensity 14; 36.94°, intensity 14

Crystal structure
```
data_Y2Tm2Lu3Ni2Te2
_space_group_name_H-M_alt 'I m m 2'
_space_group_IT_number 44
_space_group_name_Hall 'I 2 -2'
_cell_length_a 3.807
_cell_length_b 15.392
_cell_length_c 9.493
_cell_angle_alpha 90.00
_cell_angle_beta 90.00
_cell_angle_gamma 90.00
loop_
_atom_site_label
_atom_site_type_symbol
_atom_site_fract_x
_atom_site_fract_y
_atom_site_fract_z
Y1 Y 0.000 0.184 0.000
Tm1 Tm 0.000 0.146 0.649
Lu1 Lu 0.000 0.367 0.796
Lu2 Lu 0.000 0.500 0.376
Ni1 Ni 0.000 0.260 0.303
Te1 Te 0.000 0.000 0.145
Te2 Te 0.000 0.500 0.039
```